(1)
Computed XRD peak list of RbTmS2O9 for λ = 1.5418 Å (Cu Kα), from DFT lattice parameters and positions (GGA-PBE).
Kinematic intensities with the Lorentz-polarization factor, no thermal factor.

Crystal structure
Cell lengths 10.100, 8.515, 10.331 Å; angles 90.00, 117.29, 90.00 degrees
Sites, in units of the cell vectors:
Rb: 0.220 0.161 0.177
Rb: 0.220 0.339 0.677
Rb: 0.780 0.661 0.323
Rb: 0.780 0.839 0.823
Tm: 0.248 0.627 0.030
Tm: 0.248 0.873 0.530
Tm: 0.752 0.127 0.470
Tm: 0.752 0.373 0.970
S: 0.062 0.632 0.185
S: 0.062 0.868 0.685
S: 0.486 0.697 0.888
S: 0.486 0.803 0.388
S: 0.514 0.197 0.612
S: 0.514 0.303 0.112
S: 0.938 0.132 0.315
S: 0.938 0.368 0.815
O: 0.070 0.748 0.582
O: 0.070 0.752 0.082
O: 0.089 0.704 0.325
O: 0.089 0.796 0.825
O: 0.090 0.060 0.380
O: 0.090 0.440 0.880
O: 0.175 0.511 0.200
O: 0.175 0.989 0.700
O: 0.340 0.624 0.561
O: 0.340 0.876 0.061
O: 0.357 0.605 0.878
O: 0.357 0.895 0.378
O: 0.396 0.092 0.610
O: 0.396 0.408 0.110
O: 0.436 0.703 0.254
O: 0.436 0.797 0.754
O: 0.452 0.203 0.981
O: 0.452 0.297 0.481
O: 0.548 0.703 0.519
O: 0.548 0.797 0.019
O: 0.564 0.203 0.246
O: 0.564 0.297 0.746
O: 0.604 0.592 0.890
O: 0.604 0.908 0.390
O: 0.643 0.105 0.622
O: 0.643 0.395 0.122
O: 0.660 0.124 0.939
O: 0.660 0.376 0.439
O: 0.825 0.011 0.300
O: 0.825 0.489 0.800
O: 0.910 0.560 0.120
O: 0.910 0.940 0.620
O: 0.911 0.204 0.175
O: 0.911 0.296 0.675
O: 0.930 0.248 0.918
O: 0.930 0.252 0.418

Largest 12 diffraction maxima, in order of rising 2θ, 10° ≤ 2θ ≤ 80°:
- 2θ 14.19, rel. 1000, hkl 0 1 1
- 2θ 14.34, rel. 446, hkl 1 1 0
- 2θ 19.78, rel. 292, hkl 2 0 0
- 2θ 20.13, rel. 185, hkl 1 1 -2
- 2θ 23.03, rel. 270, hkl 0 2 1
- 2θ 23.25, rel. 192, hkl 1 2 -1
- 2θ 25.53, rel. 263, hkl 1 0 2
- 2θ 26.83, rel. 927, hkl 1 2 1
- 2θ 27.63, rel. 440, hkl 1 1 2
- 2θ 28.72, rel. 299, hkl 2 1 -3
- 2θ 29.10, rel. 677, hkl 3 1 -2
- 2θ 41.60, rel. 245, hkl 3 2 1


(2)
Computed XRD peak list of Pr3InN for λ = 1.5418 Å (Cu Kα), from DFT lattice parameters and positions (GGA-PBE).
Kinematic intensities with the Lorentz-polarization factor, no thermal factor.

Crystal structure
Cell lengths 5.088, 5.088, 5.088 Å; angles 90.00, 90.00, 90.00 degrees
Sites, in units of the cell vectors:
Pr: 0.000 0.000 0.500
Pr: 0.000 0.500 0.000
Pr: 0.500 0.000 0.000
In: 0.500 0.500 0.500
N: 0.000 0.000 0.000

Largest 8 diffraction maxima, in order of rising 2θ, 10° ≤ 2θ ≤ 80°:
- 2θ 17.43, rel. 17, hkl 1 0 0
- 2θ 30.43, rel. 1000, hkl 1 1 1
- 2θ 35.28, rel. 560, hkl 2 0 0
- 2θ 39.61, rel. 8, hkl 2 1 0
- 2θ 50.76, rel. 392, hkl 2 2 0
- 2θ 60.34, rel. 428, hkl 3 1 1
- 2θ 63.32, rel. 133, hkl 2 2 2
- 2θ 74.62, rel. 61, hkl 4 0 0


(3)
Computed XRD peak list of Mg15Cu for λ = 1.5418 Å (Cu Kα), from DFT lattice parameters and positions (GGA-PBE).
Kinematic intensities with the Lorentz-polarization factor, no thermal factor.

Crystal structure
Cell lengths 6.306, 6.306, 10.157 Å; angles 90.00, 90.00, 120.00 degrees
Sites, in units of the cell vectors:
Mg: 0.000 0.000 0.000
Mg: 0.003 0.502 0.500
Mg: 0.327 0.163 0.257
Mg: 0.327 0.163 0.743
Mg: 0.333 0.667 0.248
Mg: 0.333 0.667 0.752
Mg: 0.498 0.502 0.500
Mg: 0.498 0.997 0.500
Mg: 0.501 0.002 0.000
Mg: 0.501 0.499 0.000
Mg: 0.837 0.163 0.257
Mg: 0.837 0.163 0.743
Mg: 0.837 0.673 0.257
Mg: 0.837 0.673 0.743
Mg: 0.998 0.499 0.000
Cu: 0.000 0.000 0.500

Largest 12 diffraction maxima, in order of rising 2θ, 10° ≤ 2θ ≤ 80°:
- 2θ 16.23, rel. 55, hkl 1 0 0
- 2θ 18.45, rel. 76, hkl 1 0 1
- 2θ 23.93, rel. 33, hkl 1 0 2
- 2θ 32.80, rel. 247, hkl 2 0 0
- 2θ 35.35, rel. 258, hkl 0 0 4
- 2θ 37.39, rel. 1000, hkl 2 0 2
- 2θ 48.99, rel. 152, hkl 2 0 4
- 2θ 58.55, rel. 169, hkl 2 2 0
- 2θ 64.80, rel. 180, hkl 2 0 6
- 2θ 70.28, rel. 186, hkl 2 2 4
- 2θ 71.57, rel. 136, hkl 4 0 2
- 2θ 79.75, rel. 32, hkl 4 0 4


(4)
Computed XRD peak list of NaMg2H3S2O8 for λ = 1.5418 Å (Cu Kα), from DFT lattice parameters and positions (GGA-PBE).
Kinematic intensities with the Lorentz-polarization factor, no thermal factor.

Crystal structure
Cell lengths 6.389, 7.915, 9.007 Å; angles 97.60, 110.70, 113.59 degrees
Sites, in units of the cell vectors:
Na: 0.041 0.169 0.406
Na: 0.959 0.831 0.594
Mg: 0.000 0.000 0.000
Mg: 0.320 0.827 0.313
Mg: 0.500 0.000 0.000
Mg: 0.680 0.173 0.687
H: 0.041 0.560 0.772
H: 0.113 0.718 0.004
H: 0.209 0.440 0.226
H: 0.791 0.560 0.774
H: 0.887 0.282 0.996
H: 0.959 0.440 0.228
S: 0.271 0.254 0.792
S: 0.434 0.704 0.662
S: 0.566 0.296 0.338
S: 0.729 0.746 0.208
O: 0.002 0.803 0.333
O: 0.115 0.516 0.215
O: 0.215 0.855 0.074
O: 0.228 0.085 0.872
O: 0.289 0.248 0.221
O: 0.319 0.753 0.778
O: 0.371 0.204 0.671
O: 0.471 0.864 0.577
O: 0.529 0.136 0.423
O: 0.629 0.796 0.329
O: 0.681 0.247 0.222
O: 0.711 0.752 0.779
O: 0.772 0.915 0.128
O: 0.785 0.145 0.926
O: 0.885 0.484 0.785
O: 0.998 0.197 0.667

Largest 12 diffraction maxima, in order of rising 2θ, 10° ≤ 2θ ≤ 80°:
- 2θ 12.88, rel. 1000, hkl 0 1 0
- 2θ 22.27, rel. 374, hkl 0 0 2
- 2θ 23.07, rel. 225, hkl 1 -2 0
- 2θ 24.18, rel. 191, hkl -1 1 2
- 2θ 25.92, rel. 492, hkl 0 2 0
- 2θ 27.93, rel. 432, hkl -2 1 1
- 2θ 28.34, rel. 239, hkl 0 2 -2
- 2θ 29.23, rel. 252, hkl 0 1 2
- 2θ 31.43, rel. 445, hkl 0 2 1
- 2θ 31.83, rel. 308, hkl 1 1 -3
- 2θ 35.76, rel. 341, hkl 2 0 -3
- 2θ 57.72, rel. 188, hkl -4 2 2